# 1
The following is a simulated powder diffraction line list of NaZnCd2F8. It was derived from a structure optimized by DFT (GGA-PBE), using CuKα.
Kinematic intensities with the Lorentz-polarization factor, no thermal factor.

Crystal structure
Lattice parameters (Å, degrees): 5.0001 6.9187 5.0715 90.00 91.08 90.00
Fractional coordinates of all 12 atoms:
Na 0.0000 0.0000 0.0000
Zn 0.0000 0.5000 0.0000
Cd 0.5000 0.2530 0.5000
Cd 0.5000 0.7470 0.5000
F 0.1904 0.2863 0.1845
F 0.1904 0.7137 0.1845
F 0.2887 0.5000 0.7053
F 0.3065 0.0000 0.6865
F 0.6935 0.0000 0.3135
F 0.7113 0.5000 0.2947
F 0.8096 0.2863 0.8155
F 0.8096 0.7137 0.8155

Top 6 peaks for 2θ from 10° to 80°, by intensity:
| d_spacing | 2θ/deg | I_rel |
| --- | --- | --- |
| 3.594 | 24.77 | 100 |
| 3.527 | 25.25 | 100 |
| 2.845 | 31.45 | 70 |
| 2.858 | 31.30 | 68 |
| 2.492 | 36.04 | 45 |
| 1.891 | 48.11 | 36 |

***

# 2
The following is a simulated powder diffraction line list of Nd3Y2N4. It was derived from a structure optimized by DFT (GGA-PBE), using CuKα.
Kinematic intensities with the Lorentz-polarization factor, no thermal factor.

Crystal structure
Lattice parameters (Å, degrees): 3.5708 3.5708 14.9863 90.06 90.06 60.01
Fractional coordinates of all 9 atoms:
Nd 0.0000 0.0000 0.0000
Nd 0.3343 0.3343 0.3798
Nd 0.6657 0.6657 0.6202
Y 0.3328 0.3328 0.8103
Y 0.6672 0.6672 0.1897
N 0.0008 0.0008 0.2933
N 0.3336 0.3336 0.1043
N 0.6664 0.6664 0.8957
N 0.9992 0.9992 0.7067

Top 6 peaks for 2θ from 10° to 80°, by intensity:
| d_spacing | 2θ/deg | I_rel |
| --- | --- | --- |
| 2.859 | 31.29 | 100 |
| 2.629 | 34.10 | 58 |
| 2.385 | 37.72 | 48 |
| 1.785 | 51.16 | 38 |
| 1.760 | 51.95 | 37 |
| 3.029 | 29.49 | 33 |

***

# 3
The following is a simulated powder diffraction line list of Sm3Al3Hg2. It was derived from a structure optimized by DFT (GGA-PBE), using CuKα.
Kinematic intensities with the Lorentz-polarization factor, no thermal factor.

Crystal structure
Lattice parameters (Å, degrees): 6.0028 6.0028 15.2061 90.00 90.00 134.75
Fractional coordinates of all 16 atoms:
Sm 0.0870 0.9130 0.6122
Sm 0.0870 0.9130 0.8878
Sm 0.3585 0.6415 0.7500
Sm 0.6415 0.3585 0.2500
Sm 0.9130 0.0870 0.1122
Sm 0.9130 0.0870 0.3878
Al 0.3541 0.6459 0.2500
Al 0.3921 0.6079 0.5386
Al 0.3921 0.6079 0.9614
Al 0.6079 0.3921 0.0386
Al 0.6079 0.3921 0.4614
Al 0.6459 0.3541 0.7500
Hg 0.2062 0.7938 0.1005
Hg 0.2062 0.7938 0.3995
Hg 0.7938 0.2062 0.6005
Hg 0.7938 0.2062 0.8995

Top 6 peaks for 2θ from 10° to 80°, by intensity:
| d_spacing | 2θ/deg | I_rel |
| --- | --- | --- |
| 2.836 | 31.55 | 100 |
| 2.507 | 35.82 | 43 |
| 2.309 | 39.02 | 35 |
| 3.262 | 27.34 | 33 |
| 1.735 | 52.75 | 28 |
| 2.298 | 39.20 | 26 |

***

# 4
The following is a simulated powder diffraction line list of Pu3Zn3Au8. It was derived from a structure optimized by DFT (GGA-PBE), using CuKα.
Kinematic intensities with the Lorentz-polarization factor, no thermal factor.

Crystal structure
Lattice parameters (Å, degrees): 8.4506 8.4506 9.2008 122.68 122.68 32.01
Fractional coordinates of all 14 atoms:
Pu 0.0000 0.0000 0.0000
Pu 0.2892 0.2892 0.2787
Pu 0.7108 0.7108 0.7213
Zn 0.0000 0.0000 0.5000
Zn 0.3355 0.3355 0.6768
Zn 0.6645 0.6645 0.3232
Au 0.1356 0.1356 0.8443
Au 0.1383 0.1383 0.4245
Au 0.3503 0.3503 0.9676
Au 0.4960 0.4960 0.6609
Au 0.5040 0.5040 0.3391
Au 0.6497 0.6497 0.0324
Au 0.8617 0.8617 0.5755
Au 0.8644 0.8644 0.1557

Top 6 peaks for 2θ from 10° to 80°, by intensity:
| d_spacing | 2θ/deg | I_rel |
| --- | --- | --- |
| 2.330 | 38.65 | 100 |
| 2.638 | 33.98 | 90 |
| 2.614 | 34.30 | 83 |
| 2.648 | 33.85 | 49 |
| 2.562 | 35.03 | 42 |
| 2.398 | 37.51 | 37 |

***

# 5
The following is a simulated powder diffraction line list of KNa2Tc2O7. It was derived from a structure optimized by DFT (GGA-PBE), using CuKα.
Kinematic intensities with the Lorentz-polarization factor, no thermal factor.

Crystal structure
Lattice parameters (Å, degrees): 10.1931 10.1931 10.1931 157.78 157.78 31.63
Fractional coordinates of all 12 atoms:
K 0.0000 0.0000 0.0000
Na 0.2500 0.7500 0.5000
Na 0.7500 0.2500 0.5000
Tc 0.3995 0.3995 0.0000
Tc 0.6005 0.6005 0.0000
O 0.0997 0.5997 0.5000
O 0.3032 0.3032 0.0000
O 0.4003 0.9003 0.5000
O 0.5000 0.5000 0.0000
O 0.5997 0.0997 0.5000
O 0.6968 0.6968 0.0000
O 0.9003 0.4003 0.5000

Top 6 peaks for 2θ from 10° to 80°, by intensity:
| d_spacing | 2θ/deg | I_rel |
| --- | --- | --- |
| 3.852 | 23.09 | 100 |
| 2.776 | 32.24 | 97 |
| 1.964 | 46.23 | 67 |
| 1.603 | 57.50 | 52 |
| 3.367 | 26.47 | 44 |
| 1.388 | 67.46 | 31 |

***

# 6
The following is a simulated powder diffraction line list of Y6Ho7Er16. It was derived from a structure optimized by DFT (GGA-PBE), using CuKα.
Kinematic intensities with the Lorentz-polarization factor, no thermal factor.

Crystal structure
Lattice parameters (Å, degrees): 11.0200 11.0200 11.0200 60.00 60.00 60.00
Fractional coordinates of all 29 atoms:
Y 0.2163 0.2163 0.7837
Y 0.2163 0.7837 0.2163
Y 0.2163 0.7837 0.7837
Y 0.7837 0.2163 0.2163
Y 0.7837 0.2163 0.7837
Y 0.7837 0.7837 0.2163
Ho 0.0000 0.0000 0.5000
Ho 0.0000 0.5000 0.0000
Ho 0.0000 0.5000 0.5000
Ho 0.5000 0.0000 0.0000
Ho 0.5000 0.0000 0.5000
Ho 0.5000 0.5000 0.0000
Ho 0.5000 0.5000 0.5000
Er 0.1340 0.6220 0.6220
Er 0.1537 0.1537 0.1537
Er 0.1537 0.1537 0.5388
Er 0.1537 0.5388 0.1537
Er 0.3780 0.3780 0.3780
Er 0.3780 0.3780 0.8660
Er 0.3780 0.8660 0.3780
Er 0.4612 0.8463 0.8463
Er 0.5388 0.1537 0.1537
Er 0.6220 0.1340 0.6220
Er 0.6220 0.6220 0.1340
Er 0.6220 0.6220 0.6220
Er 0.8463 0.4612 0.8463
Er 0.8463 0.8463 0.4612
Er 0.8463 0.8463 0.8463
Er 0.8660 0.3780 0.3780

Top 6 peaks for 2θ from 10° to 80°, by intensity:
| d_spacing | 2θ/deg | I_rel |
| --- | --- | --- |
| 2.755 | 32.50 | 100 |
| 1.591 | 57.98 | 22 |
| 2.999 | 29.79 | 19 |
| 1.948 | 46.62 | 12 |
| 2.634 | 34.03 | 11 |
| 1.566 | 58.97 | 8 |

***

# 7
The following is a simulated powder diffraction line list of CeMg7. It was derived from a structure optimized by DFT (GGA-PBE), using CuKα.
Kinematic intensities with the Lorentz-polarization factor, no thermal factor.

Crystal structure
Lattice parameters (Å, degrees): 6.6708 6.6708 5.1714 90.00 90.00 120.00
Fractional coordinates of all 8 atoms:
Ce 0.0000 0.0000 0.0000
Mg 0.3333 0.6667 0.5000
Mg 0.3425 0.1713 0.5000
Mg 0.5051 0.0102 0.0000
Mg 0.5051 0.4949 0.0000
Mg 0.8287 0.1713 0.5000
Mg 0.8287 0.6575 0.5000
Mg 0.9898 0.4949 0.0000

Top 6 peaks for 2θ from 10° to 80°, by intensity:
| d_spacing | 2θ/deg | I_rel |
| --- | --- | --- |
| 2.522 | 35.60 | 100 |
| 5.777 | 15.34 | 60 |
| 3.853 | 23.08 | 51 |
| 2.889 | 30.96 | 32 |
| 1.668 | 55.06 | 28 |
| 1.926 | 47.18 | 23 |

***

# 8
The following is a simulated powder diffraction line list of Rb2Hg17. It was derived from a structure optimized by DFT (GGA-PBE), using CuKα.
Kinematic intensities with the Lorentz-polarization factor, no thermal factor.

Crystal structure
Lattice parameters (Å, degrees): 8.6400 8.6400 8.6400 75.69 75.69 75.69
Fractional coordinates of all 19 atoms:
Rb 0.1816 0.1816 0.1816
Rb 0.8184 0.8184 0.8184
Hg 0.0000 0.5000 0.5000
Hg 0.1214 0.1214 0.6541
Hg 0.1214 0.6541 0.1214
Hg 0.2058 0.5000 0.7942
Hg 0.2058 0.7942 0.5000
Hg 0.3459 0.8786 0.8786
Hg 0.4054 0.4054 0.4054
Hg 0.5000 0.0000 0.5000
Hg 0.5000 0.2058 0.7942
Hg 0.5000 0.5000 0.0000
Hg 0.5000 0.7942 0.2058
Hg 0.5946 0.5946 0.5946
Hg 0.6541 0.1214 0.1214
Hg 0.7942 0.2058 0.5000
Hg 0.7942 0.5000 0.2058
Hg 0.8786 0.3459 0.8786
Hg 0.8786 0.8786 0.3459

Top 6 peaks for 2θ from 10° to 80°, by intensity:
| d_spacing | 2θ/deg | I_rel |
| --- | --- | --- |
| 2.431 | 36.98 | 100 |
| 2.735 | 32.74 | 97 |
| 2.861 | 31.26 | 87 |
| 2.651 | 33.82 | 56 |
| 3.241 | 27.52 | 52 |
| 2.643 | 33.92 | 40 |

***

# 9
The following is a simulated powder diffraction line list of Ac5La4Sm4. It was derived from a structure optimized by DFT (GGA-PBE), using CuKα.
Kinematic intensities with the Lorentz-polarization factor, no thermal factor.

Crystal structure
Lattice parameters (Å, degrees): 10.0833 10.0833 10.0833 94.06 94.06 149.14
Fractional coordinates of all 13 atoms:
Ac 0.0000 0.0000 0.0000
Ac 0.3035 0.5407 0.8443
Ac 0.4593 0.3035 0.7628
Ac 0.5407 0.6965 0.2372
Ac 0.6965 0.4593 0.1557
La 0.0753 0.3867 0.4620
La 0.3867 0.9247 0.3115
La 0.6133 0.0753 0.6885
La 0.9247 0.6133 0.5380
Sm 0.1558 0.7655 0.9213
Sm 0.2345 0.1558 0.3904
Sm 0.7655 0.8442 0.6096
Sm 0.8442 0.2345 0.0787

Top 6 peaks for 2θ from 10° to 80°, by intensity:
| d_spacing | 2θ/deg | I_rel |
| --- | --- | --- |
| 3.108 | 28.72 | 100 |
| 2.696 | 33.23 | 34 |
| 1.625 | 56.65 | 30 |
| 1.902 | 47.83 | 25 |
| 2.683 | 33.39 | 17 |
| 1.619 | 56.86 | 15 |